[1]
V5CrP6O24: computed powder diffractogram (Cu Kα, 1.54184 Å), based on a DFT-relaxed cell (PBE+U, the Materials Project).
Neutral-atom scattering factors, no anomalous dispersion.

Structural model:
a b c (Å): 8.535 8.535 8.535
angles (deg): 60.55 60.55 60.55
Fractional coordinates of all 36 atoms:
V 0.000 0.000 0.000
V 0.142 0.142 0.142
V 0.356 0.356 0.356
V 0.499 0.499 0.499
V 0.856 0.856 0.856
Cr 0.641 0.641 0.641
P 0.040 0.456 0.750
P 0.249 0.955 0.543
P 0.456 0.750 0.040
P 0.543 0.249 0.955
P 0.750 0.040 0.456
P 0.955 0.543 0.249
O 0.001 0.615 0.815
O 0.061 0.257 0.909
O 0.088 0.938 0.743
O 0.113 0.504 0.314
O 0.181 0.997 0.388
O 0.241 0.442 0.589
O 0.257 0.909 0.061
O 0.314 0.113 0.504
O 0.388 0.181 0.997
O 0.409 0.756 0.558
O 0.442 0.589 0.241
O 0.492 0.686 0.885
O 0.504 0.314 0.113
O 0.558 0.409 0.756
O 0.589 0.241 0.442
O 0.615 0.815 0.001
O 0.686 0.885 0.492
O 0.743 0.088 0.938
O 0.756 0.558 0.409
O 0.815 0.001 0.615
O 0.885 0.492 0.686
O 0.909 0.061 0.257
O 0.938 0.743 0.088
O 0.997 0.388 0.181

Main lines, in order of rising 2θ (10 to 90 degrees two-theta):
| 2theta | I/Imax |
| --- | --- |
| 20.6 | 63.7 |
| 24.3 | 100.0 |
| 33.2 | 54.9 |
| 36.2 | 30.0 |
| 47.6 | 26.9 |
| 56.6 | 21.2 |

***

[2]
Li9Mn7O16: computed powder diffractogram (Cu Kα, 1.54184 Å), based on a DFT-relaxed cell (PBE+U, the Materials Project).
Neutral-atom scattering factors, no anomalous dispersion.

Structural model:
a b c (Å): 5.093 5.105 12.062
angles (deg): 91.82 93.46 107.33
Fractional coordinates of all 32 atoms:
Li 0.000 0.000 0.000
Li 0.000 0.000 0.500
Li 0.007 0.004 0.242
Li 0.494 0.995 0.377
Li 0.498 0.005 0.879
Li 0.500 0.500 0.000
Li 0.502 0.995 0.121
Li 0.506 0.005 0.623
Li 0.993 0.996 0.758
Mn 0.006 0.505 0.372
Mn 0.006 0.513 0.119
Mn 0.490 0.488 0.759
Mn 0.500 0.500 0.500
Mn 0.510 0.512 0.241
Mn 0.994 0.487 0.881
Mn 0.994 0.495 0.628
O 0.214 0.719 0.003
O 0.220 0.708 0.761
O 0.227 0.261 0.878
O 0.244 0.269 0.634
O 0.249 0.271 0.382
O 0.252 0.278 0.132
O 0.254 0.735 0.494
O 0.259 0.741 0.239
O 0.741 0.259 0.761
O 0.746 0.265 0.506
O 0.748 0.722 0.868
O 0.751 0.729 0.618
O 0.756 0.731 0.366
O 0.773 0.739 0.122
O 0.780 0.292 0.239
O 0.786 0.281 0.997

Main lines, in order of rising 2θ (10 to 90 degrees two-theta):
| 2theta | I/Imax |
| --- | --- |
| 18.2 | 100.0 |
| 33.9 | 17.1 |
| 36.1 | 11.5 |
| 36.3 | 11.1 |
| 40.7 | 33.2 |
| 44.1 | 53.4 |

***

[3]
LiV3OF11: computed powder diffractogram (Cu Kα, 1.54184 Å), based on a DFT-relaxed cell (PBE+U, the Materials Project).
Neutral-atom scattering factors, no anomalous dispersion.

Structural model:
a b c (Å): 5.478 6.018 7.049
angles (deg): 104.46 103.60 93.25
Fractional coordinates of all 16 atoms:
Li 0.000 0.000 0.000
V 0.130 0.133 0.539
V 0.406 0.633 0.741
V 0.788 0.450 0.333
O 0.119 0.441 0.533
F 0.210 0.728 0.911
F 0.229 0.038 0.308
F 0.362 0.877 0.616
F 0.426 0.315 0.765
F 0.472 0.404 0.187
F 0.644 0.548 0.575
F 0.685 0.785 0.945
F 0.779 0.139 0.387
F 0.909 0.323 0.113
F 0.909 0.746 0.366
F 0.991 0.089 0.742

Main lines, in order of rising 2θ (10 to 90 degrees two-theta):
| 2theta | I/Imax |
| --- | --- |
| 13.4 | 83.0 |
| 18.6 | 100.0 |
| 24.2 | 60.3 |
| 25.4 | 44.4 |
| 28.0 | 32.3 |
| 30.2 | 41.0 |

***

[4]
Li7Fe5O12: computed powder diffractogram (Cu Kα, 1.54184 Å), based on a DFT-relaxed cell (PBE+U, the Materials Project).
Neutral-atom scattering factors, no anomalous dispersion.

Structural model:
a b c (Å): 5.132 5.132 9.891
angles (deg): 94.93 94.93 119.97
Fractional coordinates of all 24 atoms:
Li 0.000 0.000 0.000
Li 0.072 0.399 0.244
Li 0.257 0.241 0.754
Li 0.421 0.090 0.248
Li 0.601 0.928 0.756
Li 0.759 0.743 0.246
Li 0.910 0.579 0.752
Fe 0.170 0.830 0.500
Fe 0.333 0.667 0.000
Fe 0.502 0.498 0.500
Fe 0.666 0.334 0.000
Fe 0.836 0.164 0.500
O 0.019 0.670 0.112
O 0.130 0.124 0.382
O 0.209 0.535 0.616
O 0.330 0.981 0.888
O 0.403 0.387 0.113
O 0.465 0.791 0.384
O 0.539 0.202 0.614
O 0.613 0.597 0.887
O 0.687 0.055 0.112
O 0.798 0.461 0.386
O 0.876 0.870 0.618
O 0.945 0.313 0.888

Main lines, in order of rising 2θ (10 to 90 degrees two-theta):
| 2theta | I/Imax |
| --- | --- |
| 18.2 | 100.0 |
| 35.5 | 41.2 |
| 43.1 | 90.1 |
| 56.8 | 14.4 |
| 62.4 | 24.1 |
| 62.7 | 24.2 |